# 1
For PmThCuAg, a structure optimized by DFT (PBE) gives the computed powder diffraction line list in this record (Cu Kα X-rays).
Peak positions follow from Bragg's law for the DFT cell and can differ from measured ones.

Structural model:
Cell: 5.1842 5.1842 5.1842 Å, 60.00 60.00 60.00°
Element x y z (fractional)
Pm 0.0000 0.0000 0.0000
Th 0.5000 0.5000 0.5000
Cu 0.2500 0.2500 0.2500
Ag 0.7500 0.7500 0.7500

Main lines, by angle (2θ from 5° to 70°):
2θ (°), d/Å, I (rel.)
21.0, 4.233, 6
24.3, 3.666, 14
34.6, 2.592, 100
49.7, 1.833, 18
56.1, 1.639, 6
62.0, 1.497, 36

=====

# 2
For Th3Sb6Pd20, a structure optimized by DFT (PBE) gives the computed powder diffraction line list in this record (Cu Kα X-rays).
Peak positions follow from Bragg's law for the DFT cell and can differ from measured ones.

Structural model:
Cell: 9.2507 9.2507 9.2507 Å, 60.00 60.00 60.00°
Element x y z (fractional)
Th 0.0000 0.0000 0.0000
Th 0.2500 0.2500 0.2500
Th 0.7500 0.7500 0.7500
Sb 0.2700 0.2700 0.7300
Sb 0.2700 0.7300 0.2700
Sb 0.2700 0.7300 0.7300
Sb 0.7300 0.2700 0.2700
Sb 0.7300 0.2700 0.7300
Sb 0.7300 0.7300 0.2700
Pd 0.0000 0.0000 0.3510
Pd 0.0000 0.0000 0.6490
Pd 0.0000 0.3510 0.0000
Pd 0.0000 0.3510 0.6490
Pd 0.0000 0.6490 0.0000
Pd 0.0000 0.6490 0.3510
Pd 0.1255 0.6248 0.6248
Pd 0.3510 0.0000 0.0000
Pd 0.3510 0.0000 0.6490
Pd 0.3510 0.6490 0.0000
Pd 0.3752 0.3752 0.3752
Pd 0.3752 0.3752 0.8745
Pd 0.3752 0.8745 0.3752
Pd 0.6248 0.1255 0.6248
Pd 0.6248 0.6248 0.1255
Pd 0.6248 0.6248 0.6248
Pd 0.6490 0.0000 0.0000
Pd 0.6490 0.0000 0.3510
Pd 0.6490 0.3510 0.0000
Pd 0.8745 0.3752 0.3752

Main lines, by angle (2θ from 5° to 70°):
2θ (°), d/Å, I (rel.)
33.6, 2.670, 32
35.7, 2.518, 100
38.9, 2.313, 81
40.8, 2.211, 20
46.0, 1.972, 37
60.0, 1.542, 28

=====

# 3
For Li4ThGa2, a structure optimized by DFT (PBE) gives the computed powder diffraction line list in this record (Cu Kα X-rays).
Peak positions follow from Bragg's law for the DFT cell and can differ from measured ones.

Structural model:
Cell: 7.7343 7.7343 4.4573 Å, 90.00 90.00 90.00°
Element x y z (fractional)
Li 0.0970 0.3503 0.0000
Li 0.1497 0.5970 0.5000
Li 0.3503 0.0970 0.0000
Li 0.4030 0.8503 0.5000
Li 0.5970 0.1497 0.5000
Li 0.6497 0.9030 0.0000
Li 0.8503 0.4030 0.5000
Li 0.9030 0.6497 0.0000
Th 0.0000 0.0000 0.5000
Th 0.5000 0.5000 0.0000
Ga 0.2130 0.7870 0.0000
Ga 0.2870 0.2870 0.5000
Ga 0.7130 0.7130 0.5000
Ga 0.7870 0.2130 0.0000

Main lines, by angle (2θ from 5° to 70°):
2θ (°), d/Å, I (rel.)
16.2, 5.469, 68
23.0, 3.862, 49
32.8, 2.733, 100
40.4, 2.231, 40
53.0, 1.728, 30
63.7, 1.461, 21

=====

# 4
For FeReAu, a structure optimized by DFT (PBE) gives the computed powder diffraction line list in this record (Cu Kα X-rays).
Peak positions follow from Bragg's law for the DFT cell and can differ from measured ones.

Structural model:
Cell: 4.8896 4.8896 4.8896 Å, 147.26 136.27 55.68°
Element x y z (fractional)
Fe 0.0000 0.0000 0.0000
Re 0.6263 0.6263 0.0000
Au 0.3171 0.3171 0.0000

Main lines, by angle (2θ from 5° to 70°):
2θ (°), d/Å, I (rel.)
26.6, 3.356, 40
34.1, 2.626, 21
39.9, 2.260, 100
41.1, 2.198, 100
45.5, 1.992, 69
50.1, 1.821, 28

=====

# 5
For TbDy7Er5, a structure optimized by DFT (PBE) gives the computed powder diffraction line list in this record (Cu Kα X-rays).
Peak positions follow from Bragg's law for the DFT cell and can differ from measured ones.

Structural model:
Cell: 8.6262 8.6262 8.6262 Å, 134.91 99.94 96.97°
Element x y z (fractional)
Tb 0.0000 0.0000 0.0000
Dy 0.2282 0.5567 0.6714
Dy 0.3062 0.3062 0.0000
Dy 0.3842 0.0556 0.3286
Dy 0.6129 0.6129 0.0000
Dy 0.7270 0.0556 0.6714
Dy 0.8064 0.3064 0.5000
Dy 0.8853 0.5567 0.3286
Er 0.0340 0.0394 0.4617
Er 0.0340 0.5723 0.9946
Er 0.3065 0.8065 0.5000
Er 0.5777 0.0394 0.0054
Er 0.5777 0.5723 0.5383

Main lines, by angle (2θ from 5° to 70°):
2θ (°), d/Å, I (rel.)
27.6, 3.228, 29
31.3, 2.860, 100
31.5, 2.840, 58
31.8, 2.811, 79
35.3, 2.544, 83
58.3, 1.583, 33

=====

# 6
For CaP6Pt, a structure optimized by DFT (PBE) gives the computed powder diffraction line list in this record (Cu Kα X-rays).
Peak positions follow from Bragg's law for the DFT cell and can differ from measured ones.

Structural model:
Cell: 6.9831 6.9831 6.9831 Å, 47.97 47.97 47.97°
Element x y z (fractional)
Ca 0.0000 0.0000 0.0000
P 0.0140 0.5129 0.8245
P 0.1755 0.9860 0.4871
P 0.4871 0.1755 0.9860
P 0.5129 0.8245 0.0140
P 0.8245 0.0140 0.5129
P 0.9860 0.4871 0.1755
Pt 0.5000 0.5000 0.5000

Main lines, by angle (2θ from 5° to 70°):
2θ (°), d/Å, I (rel.)
14.4, 6.166, 100
18.7, 4.751, 31
20.5, 4.341, 53
26.5, 3.369, 69
37.9, 2.376, 39
43.3, 2.089, 55

=====

# 7
For Ca3Ni3Ge8, a structure optimized by DFT (PBE) gives the computed powder diffraction line list in this record (Cu Kα X-rays).
Peak positions follow from Bragg's law for the DFT cell and can differ from measured ones.

Structural model:
Cell: 8.6148 8.6148 8.4484 Å, 114.31 114.31 27.94°
Element x y z (fractional)
Ca 0.0000 0.0000 0.0000
Ca 0.2734 0.2734 0.3138
Ca 0.7266 0.7266 0.6862
Ni 0.0000 0.0000 0.5000
Ni 0.3492 0.3492 0.0055
Ni 0.6508 0.6508 0.9945
Ge 0.1178 0.1178 0.4217
Ge 0.1824 0.1824 0.9025
Ge 0.3742 0.3742 0.7522
Ge 0.4724 0.4724 0.3005
Ge 0.5276 0.5276 0.6995
Ge 0.6258 0.6258 0.2478
Ge 0.8176 0.8176 0.0975
Ge 0.8822 0.8822 0.5783

Main lines, by angle (2θ from 5° to 70°):
2θ (°), d/Å, I (rel.)
19.7, 4.509, 31
34.2, 2.625, 100
34.4, 2.605, 67
42.2, 2.141, 31
43.5, 2.079, 53
47.4, 1.919, 31

=====

# 8
For Dy4GaAg, a structure optimized by DFT (PBE) gives the computed powder diffraction line list in this record (Cu Kα X-rays).
Peak positions follow from Bragg's law for the DFT cell and can differ from measured ones.

Structural model:
Cell: 11.2292 11.2292 6.3108 Å, 90.00 90.00 153.81°
Element x y z (fractional)
Dy 0.0639 0.9361 0.5000
Dy 0.1911 0.8089 0.7955
Dy 0.2160 0.7840 0.3132
Dy 0.3749 0.6251 0.5785
Dy 0.6251 0.3749 0.0785
Dy 0.7840 0.2160 0.8132
Dy 0.8089 0.1911 0.2955
Dy 0.9361 0.0639 0.0000
Ga 0.3401 0.6599 0.0519
Ga 0.6599 0.3401 0.5519
Ag 0.0688 0.9312 0.0071
Ag 0.9312 0.0688 0.5071

Main lines, by angle (2θ from 5° to 70°):
2θ (°), d/Å, I (rel.)
17.9, 4.956, 33
29.5, 3.032, 42
32.8, 2.733, 33
33.7, 2.663, 100
35.3, 2.544, 58
35.7, 2.517, 78

=====

# 9
For PuCd5Hg5, a structure optimized by DFT (PBE) gives the computed powder diffraction line list in this record (Cu Kα X-rays).
Peak positions follow from Bragg's law for the DFT cell and can differ from measured ones.

Structural model:
Cell: 5.8331 6.7241 7.6245 Å, 94.91 111.22 92.15°
Element x y z (fractional)
Pu 0.0000 0.0000 0.0000
Cd 0.2453 0.3712 0.3830
Cd 0.4988 0.3246 0.8187
Cd 0.5000 0.0000 0.5000
Cd 0.5012 0.6754 0.1813
Cd 0.7547 0.6288 0.6170
Hg 0.0000 0.5000 0.0000
Hg 0.0156 0.7880 0.3734
Hg 0.3701 0.8048 0.7997
Hg 0.6299 0.1952 0.2003
Hg 0.9844 0.2120 0.6266

Main lines, by angle (2θ from 5° to 70°):
2θ (°), d/Å, I (rel.)
28.8, 3.099, 28
31.7, 2.824, 98
33.1, 2.710, 36
35.0, 2.566, 100
35.5, 2.526, 70
36.1, 2.491, 28

=====

# 10
For Gd2HgO4, a structure optimized by DFT (PBE) gives the computed powder diffraction line list in this record (Cu Kα X-rays).
Peak positions follow from Bragg's law for the DFT cell and can differ from measured ones.

Structural model:
Cell: 7.1562 7.1562 10.2314 Å, 120.71 120.71 30.08°
Element x y z (fractional)
Gd 0.1195 0.1195 0.4616
Gd 0.3407 0.3407 0.2005
Gd 0.6593 0.6593 0.7995
Gd 0.8805 0.8805 0.5384
Hg 0.3861 0.3861 0.8386
Hg 0.6139 0.6139 0.1614
O 0.0817 0.0817 0.6530
O 0.2695 0.2695 0.3888
O 0.2967 0.2967 0.9442
O 0.4646 0.4646 0.7185
O 0.5354 0.5354 0.2815
O 0.7033 0.7033 0.0558
O 0.7305 0.7305 0.6112
O 0.9183 0.9183 0.3470

Main lines, by angle (2θ from 5° to 70°):
2θ (°), d/Å, I (rel.)
28.7, 3.110, 59
30.5, 2.933, 68
30.9, 2.894, 63
32.1, 2.788, 100
35.2, 2.552, 64
51.2, 1.785, 52

=====

# 11
For PuAg, a structure optimized by DFT (PBE) gives the computed powder diffraction line list in this record (Cu Kα X-rays).
Peak positions follow from Bragg's law for the DFT cell and can differ from measured ones.

Structural model:
Cell: 4.9765 4.9765 4.9765 Å, 60.00 60.00 60.00°
Element x y z (fractional)
Pu 0.1250 0.1250 0.1250
Pu 0.8750 0.8750 0.8750
Ag 0.3750 0.3750 0.3750
Ag 0.6250 0.6250 0.6250

Main lines, by angle (2θ from 5° to 70°):
2θ (°), d/Å, I (rel.)
21.9, 4.063, 14
36.1, 2.488, 100
42.6, 2.122, 8
52.0, 1.759, 18
57.0, 1.615, 4
64.9, 1.437, 36

=====

# 12
For SrNbSnO6, a structure optimized by DFT (PBE) gives the computed powder diffraction line list in this record (Cu Kα X-rays).
Peak positions follow from Bragg's law for the DFT cell and can differ from measured ones.

Structural model:
Cell: 5.5060 5.5060 10.5618 Å, 90.00 90.00 120.00°
Element x y z (fractional)
Sr 0.0000 0.0000 0.0000
Sr 0.0000 0.0000 0.5000
Nb 0.3333 0.6667 0.2500
Nb 0.6667 0.3333 0.7500
Sn 0.3333 0.6667 0.7500
Sn 0.6667 0.3333 0.2500
O 0.0091 0.3817 0.1442
O 0.0091 0.6274 0.3558
O 0.3726 0.3817 0.3558
O 0.3726 0.9909 0.1442
O 0.3817 0.0091 0.6442
O 0.3817 0.3726 0.8558
O 0.6183 0.6274 0.1442
O 0.6183 0.9909 0.3558
O 0.6274 0.0091 0.8558
O 0.6274 0.6183 0.6442
O 0.9909 0.3726 0.6442
O 0.9909 0.6183 0.8558

Main lines, by angle (2θ from 5° to 70°):
2θ (°), d/Å, I (rel.)
16.8, 5.281, 26
25.2, 3.539, 100
32.5, 2.753, 43
41.6, 2.173, 23
47.7, 1.906, 52
53.7, 1.706, 24

=====

# 13
For Cs3Rb, a structure optimized by DFT (PBE) gives the computed powder diffraction line list in this record (Cu Kα X-rays).
Peak positions follow from Bragg's law for the DFT cell and can differ from measured ones.

Structural model:
Cell: 5.5169 6.9255 11.2548 Å, 90.00 90.00 90.00°
Element x y z (fractional)
Cs 0.0000 0.0000 0.0000
Cs 0.5000 0.5000 0.2612
Cs 0.5000 0.5000 0.7388
Rb 0.0000 0.0000 0.5000

Main lines, by angle (2θ from 5° to 70°):
2θ (°), d/Å, I (rel.)
20.3, 4.367, 100
20.6, 4.315, 98
22.6, 3.940, 78
34.5, 2.601, 52
38.2, 2.357, 38
38.6, 2.332, 38